# TbErTm2Sc2
Computed powder diffraction line list, Cu Kα, 1.54184 Å. Input: a PBE-relaxed structure.

Cell and atoms:
a b c (Å): 6.745 9.364 5.418
angles (deg): 90.00 90.00 90.00
Fractional coordinates of all 12 atoms:
Tb  0.000  0.000  0.000
Tb  0.500  0.500  0.500
Er  0.000  0.500  0.500
Er  0.500  0.000  0.000
Tm  0.249  0.334  0.000
Tm  0.251  0.834  0.500
Tm  0.749  0.166  0.500
Tm  0.751  0.666  0.000
Sc  0.250  0.167  0.500
Sc  0.250  0.667  0.000
Sc  0.750  0.333  0.000
Sc  0.750  0.833  0.500

The 10 most intense peaks (2θ from 10° to 90°), in order of rising 2θ:
(1 2 0), 2θ 23.11, 3.849 Å, intensity 37; (2 1 1), 2θ 32.71, 2.738 Å, intensity 100; (0 3 1), 2θ 33.10, 2.706 Å, intensity 95; (1 2 2), 2θ 40.76, 2.214 Å, intensity 9; (2 4 0), 2θ 47.23, 1.925 Å, intensity 36; (2 4 2), 2θ 58.88, 1.568 Å, intensity 37; (0 3 3), 2θ 59.10, 1.563 Å, intensity 12; (4 3 1), 2θ 65.19, 1.431 Å, intensity 26; (2 2 4), 2θ 78.88, 1.214 Å, intensity 11; (4 6 0), 2θ 84.54, 1.146 Å, intensity 13